Starting from the GGA-PBE geometry in Alexandria, the XRD peak list of La4SmTh3S8 was simulated for Cu Kα, 1.54184 Å.

Structure:
Lattice parameters (Å, degrees): 8.193 8.193 8.193 59.83 59.83 59.83
Fractional positions:
1 La 0.000 0.000 0.000
2 La 0.000 0.500 0.500
3 La 0.500 0.000 0.500
4 La 0.500 0.500 0.000
5 Sm 0.500 0.500 0.500
6 Th 0.000 0.000 0.500
7 Th 0.000 0.500 0.000
8 Th 0.500 0.000 0.000
9 S 0.248 0.248 0.248
10 S 0.249 0.746 0.746
11 S 0.254 0.254 0.751
12 S 0.254 0.751 0.254
13 S 0.746 0.249 0.746
14 S 0.746 0.746 0.249
15 S 0.751 0.254 0.254
16 S 0.752 0.752 0.752

Top 10 peaks for 2θ = 10–90°, by angle:
2θ = 26.7°, d = 3.340 Å, rel. 86; 2θ = 30.9°, d = 2.893 Å, rel. 100; 2θ = 44.2°, d = 2.048 Å, rel. 37; 2θ = 44.3°, d = 2.043 Å, rel. 37; 2θ = 52.5°, d = 1.744 Å, rel. 33; 2θ = 55.0°, d = 1.669 Å, rel. 19; 2θ = 64.4°, d = 1.446 Å, rel. 12; 2θ = 73.1°, d = 1.295 Å, rel. 17; 2θ = 73.2°, d = 1.292 Å, rel. 17; 2θ = 81.6°, d = 1.180 Å, rel. 19